This entry pairs a crystal structure of VHO3 with its simulated powder X-ray diffraction pattern. Radiation: Cu Kα (weighted mean of Kα1 and Kα2). Structure: DFT lattice parameters and positions (GGA+U).
Neutral-atom scattering factors, no anomalous dispersion.

Structural model:
```
data_VHO3
_chemical_formula_sum 'V8 H8 O24'
_cell_length_a 11.884
_cell_length_b 3.703
_cell_length_c 11.563
_cell_angle_alpha 90.00
_cell_angle_beta 94.26
_cell_angle_gamma 90.00
_symmetry_space_group_name_H-M 'C 1 m 1'
_symmetry_Int_Tables_number 8
loop_
_symmetry_equiv_pos_as_xyz
'x,y,z'
'x,-y,z'
'x+1/2,y+1/2,z'
'x+1/2,-y+1/2,z'
loop_
_atom_site_label
_atom_site_type_symbol
_atom_site_fract_x
_atom_site_fract_y
_atom_site_fract_z
V1 V 0.000 0.000 0.000
V2 V 0.060 0.500 0.256
V3 V 0.201 0.500 0.002
V4 V 0.358 0.500 0.259
H1 H 0.116 0.000 0.577
H2 H 0.139 0.500 0.784
H3 H 0.304 0.000 0.624
H4 H 0.402 0.000 0.539
O1 O 0.025 0.000 0.223
O2 O 0.037 0.500 0.041
O3 O 0.077 0.500 0.395
O4 O 0.172 0.000 0.644
O5 O 0.174 0.000 0.030
O6 O 0.193 0.500 0.852
O7 O 0.207 0.500 0.213
O8 O 0.357 0.500 0.044
O9 O 0.365 0.500 0.398
O10 O 0.389 0.000 0.621
O11 O 0.390 0.000 0.232
O12 O 0.487 0.500 0.862
```

Most intense lines, 2θ = 10–90°, sorted by position:
| Position (°2θ) | d_spacing | I_rel | index |
| --- | --- | --- | --- |
| 17.33 | 5.118 | 54 | 2 0 1 |
| 23.14 | 3.844 | 88 | 0 0 3 |
| 25.19 | 3.535 | 67 | 1 1 0 |
| 26.54 | 3.359 | 100 | 1 1 1 |
| 30.59 | 2.922 | 63 | 4 0 -1 |
| 31.02 | 2.883 | 40 | 0 0 4 |
| 34.48 | 2.601 | 51 | 3 1 1 |
| 39.06 | 2.306 | 54 | 0 0 5 |
| 45.99 | 1.973 | 51 | 6 0 0 |
| 49.21 | 1.852 | 48 | 0 2 0 |